1.
For Ho2Al12Pd7, a cell relaxed with PBE gives the simulated XRD peak list in this record (Cu Kα (weighted mean of Kα1 and Kα2)).
Kinematic intensities with the Lorentz-polarization factor, no thermal factor.

Structural model:
Unit cell a=9.8793 b=9.8793 c=4.1964 alpha=90.00 beta=90.00 gamma=120.00
Fractional positions:
Ho 0.0000 0.0000 0.0000
Ho 0.3333 0.6667 0.5000
Al 0.0170 0.7332 0.5000
Al 0.1536 0.3875 0.0000
Al 0.2339 0.8464 0.0000
Al 0.2668 0.2838 0.5000
Al 0.3713 0.1713 0.0000
Al 0.5408 0.1297 0.5000
Al 0.5888 0.4592 0.5000
Al 0.6125 0.7661 0.0000
Al 0.7162 0.9830 0.5000
Al 0.8000 0.6287 0.0000
Al 0.8287 0.2000 0.0000
Al 0.8703 0.4112 0.5000
Pd 0.0219 0.5584 0.0000
Pd 0.2414 0.0072 0.5000
Pd 0.4416 0.4635 0.0000
Pd 0.5365 0.9781 0.0000
Pd 0.6667 0.3333 0.0000
Pd 0.7658 0.7586 0.5000
Pd 0.9928 0.2342 0.5000

Largest 10 diffraction maxima, sorted by position, 2θ from 10° to 90°:
2θ (°)  I_rel
27.58  42
29.82  100
31.37  26
35.03  97
36.38  36
42.47  42
43.11  40
43.83  35
48.78  26
51.39  29

***

2.
For HoAlPd3, a cell relaxed with PBE gives the simulated XRD peak list in this record (Cu Kα (weighted mean of Kα1 and Kα2)).
Kinematic intensities with the Lorentz-polarization factor, no thermal factor.

Structural model:
Unit cell a=6.4069 b=6.4069 c=6.4069 alpha=128.93 beta=105.30 gamma=96.19
Fractional positions:
Ho 0.2511 0.0011 0.2500
Ho 0.7489 0.9989 0.7500
Al 0.0000 0.5000 0.5000
Al 0.5000 0.5000 0.0000
Pd 0.1923 0.0000 0.6923
Pd 0.1923 0.5000 0.1923
Pd 0.4218 0.6718 0.7500
Pd 0.5782 0.3282 0.2500
Pd 0.8077 0.0000 0.3077
Pd 0.8077 0.5000 0.8077

Largest 10 diffraction maxima, sorted by position, 2θ from 10° to 90°:
2θ (°)  I_rel
29.99  51
31.08  68
35.41  51
36.07  49
36.22  67
38.81  79
40.05  100
42.58  90
70.33  39
74.90  38

***

3.
For HoAlPd5, a cell relaxed with PBE gives the simulated XRD peak list in this record (Cu Kα (weighted mean of Kα1 and Kα2)).
Kinematic intensities with the Lorentz-polarization factor, no thermal factor.

Structural model:
Unit cell a=4.1284 b=4.1284 c=7.0209 alpha=90.00 beta=90.00 gamma=90.00
Fractional positions:
Ho 0.0000 0.0000 0.0000
Al 0.5000 0.5000 0.5000
Pd 0.0000 0.5000 0.2927
Pd 0.0000 0.5000 0.7073
Pd 0.5000 0.0000 0.2927
Pd 0.5000 0.0000 0.7073
Pd 0.5000 0.5000 0.0000

Largest 10 diffraction maxima, sorted by position, 2θ from 10° to 90°:
2θ (°)  I_rel
12.61  15
33.24  48
38.47  19
40.18  100
43.86  46
59.73  21
63.76  15
70.41  11
75.07  15
78.10  28

***

4.
For Ho2TiAl2Pd5, a cell relaxed with PBE gives the simulated XRD peak list in this record (Cu Kα (weighted mean of Kα1 and Kα2)).
Kinematic intensities with the Lorentz-polarization factor, no thermal factor.

Structural model:
Unit cell a=10.1814 b=10.1814 c=3.4590 alpha=90.00 beta=90.00 gamma=90.00
Fractional positions:
Ho 0.1747 0.3253 0.0000
Ho 0.3253 0.8253 0.0000
Ho 0.6747 0.1747 0.0000
Ho 0.8253 0.6747 0.0000
Ti 0.0000 0.0000 0.0000
Ti 0.5000 0.5000 0.0000
Al 0.1266 0.6266 0.0000
Al 0.3734 0.1266 0.0000
Al 0.6266 0.8734 0.0000
Al 0.8734 0.3734 0.0000
Pd 0.0000 0.5000 0.5000
Pd 0.0509 0.7993 0.5000
Pd 0.2007 0.0509 0.5000
Pd 0.2993 0.5509 0.5000
Pd 0.4491 0.2993 0.5000
Pd 0.5000 0.0000 0.5000
Pd 0.5509 0.7007 0.5000
Pd 0.7007 0.4491 0.5000
Pd 0.7993 0.9491 0.5000
Pd 0.9491 0.2007 0.5000

Largest 10 diffraction maxima, sorted by position, 2θ from 10° to 90°:
2θ (°)  I_rel
31.26  26
32.51  58
36.01  31
36.38  79
37.48  47
38.19  100
41.27  25
44.18  20
52.94  25
65.94  27

***

5.
For PmHo4Al2, a cell relaxed with PBE gives the simulated XRD peak list in this record (Cu Kα (weighted mean of Kα1 and Kα2)).
Kinematic intensities with the Lorentz-polarization factor, no thermal factor.

Structural model:
Unit cell a=7.7612 b=6.6753 c=6.1886 alpha=74.11 beta=55.81 gamma=50.08
Fractional positions:
Pm 0.0000 0.0000 0.0000
Ho 0.2500 0.2500 0.2500
Ho 0.3387 0.6613 0.3387
Ho 0.6613 0.3387 0.6613
Ho 0.7500 0.7500 0.7500
Al 0.2746 0.2746 0.7254
Al 0.7254 0.7254 0.2746

Largest 10 diffraction maxima, sorted by position, 2θ from 10° to 90°:
2θ (°)  I_rel
17.07  26
23.04  28
30.04  82
30.78  100
31.02  63
31.69  25
35.40  35
37.42  52
64.11  28
69.17  25

***

6.
For Pm3HoAl, a cell relaxed with PBE gives the simulated XRD peak list in this record (Cu Kα (weighted mean of Kα1 and Kα2)).
Kinematic intensities with the Lorentz-polarization factor, no thermal factor.

Structural model:
Unit cell a=6.8414 b=6.8414 c=12.5573 alpha=95.39 beta=95.39 gamma=31.07
Fractional positions:
Pm 0.0365 0.0365 0.1958
Pm 0.1426 0.1426 0.4464
Pm 0.3632 0.3632 0.0208
Pm 0.6368 0.6368 0.9792
Pm 0.8574 0.8574 0.5536
Pm 0.9635 0.9635 0.8042
Ho 0.2183 0.2183 0.7460
Ho 0.7817 0.7817 0.2540
Al 0.4476 0.4476 0.3797
Al 0.5524 0.5524 0.6203

Largest 10 diffraction maxima, sorted by position, 2θ from 10° to 90°:
2θ (°)  I_rel
28.57  22
28.75  22
30.47  36
32.03  50
32.23  100
33.07  19
33.71  87
42.41  20
47.11  27
49.77  20